Entry 1:
# CaLaCrBiO6
Theoretical powder XRD pattern, Cu Kα, 1.54184 Å. Input: a structure optimized by DFT (GGA+U).
Lines closer than 0.1° are merged.

Most intense lines, 15 to 90 degrees two-theta, in order of rising 2θ:
18.57 deg, I = 573; 19.14 deg, I = 339; 30.40 deg, I = 444; 30.73 deg, I = 1000; 31.08 deg, I = 981; 31.48 deg, I = 443; 36.23 deg, I = 269; 36.67 deg, I = 354; 44.21 deg, I = 252; 44.33 deg, I = 432

Cell and atoms:
```
20
Lattice="5.6843 0.0000 0.0000 0.0000 5.8811 0.0000 -5.5580 0.0000 8.1938" Properties=species:S:1:pos:R:3 pbc="T T T"
Ca 0.0000 1.1374 0.0000
Ca -2.7790 4.7437 4.0969
La 0.2665 1.7993 4.1256
La 3.0455 4.0818 0.0287
Cr 2.9851 1.4647 2.0661
Cr 0.2061 4.4164 6.1630
Bi -2.6419 1.4512 6.1764
Bi 0.1371 4.4299 2.0795
O -2.0238 1.1810 3.9809
O -4.8028 4.7002 8.0778
O 2.2826 1.7308 0.1609
O -0.4964 4.1504 4.2578
O 1.3706 0.3638 2.5743
O -1.4084 5.5173 6.6712
O -0.8121 2.7280 6.6913
O 1.9669 3.1531 2.5944
O 1.2196 0.2141 5.6436
O 3.9986 5.6670 1.5467
O 4.6025 2.5683 1.5690
O 1.8235 3.3128 5.6659
```

***

Entry 2:
# BaCaEuWO6
Theoretical powder XRD pattern, Cu Kα, 1.54184 Å. Input: a structure optimized by DFT (GGA+U).
Lines closer than 0.1° are merged.

Most intense lines, 15 to 90 degrees two-theta, in order of rising 2θ:
18.20 deg, I = 221; 29.94 deg, I = 1000; 35.26 deg, I = 107; 42.85 deg, I = 297; 53.15 deg, I = 402; 56.65 deg, I = 47; 62.20 deg, I = 184; 70.55 deg, I = 181; 78.49 deg, I = 61; 86.21 deg, I = 217

Cell and atoms:
```
10
Lattice="0.0000 4.2212 4.2212 4.2212 0.0000 4.2212 4.2212 4.2212 0.0000" Properties=species:S:1:pos:R:3 pbc="T T T"
Ba 0.0000 0.0000 0.0000
Ca 6.3318 6.3318 6.3318
Eu 4.2212 4.2212 4.2212
W 2.1106 2.1106 2.1106
O 2.1106 2.1106 0.1573
O 2.1106 0.1573 2.1106
O 4.0639 2.1106 2.1106
O 0.1573 2.1106 2.1106
O 2.1106 4.0639 2.1106
O 2.1106 2.1106 4.0639
```